1.
# Sm3Ho7Sc
Calculated X-ray powder pattern, Cu Kα X-rays. Input: DFT lattice parameters and positions (GGA-PBE).
Lines closer than 0.1° are merged.

Cell and atoms:
```
Sm3Ho7Sc
1.0
6.9894 0.0000 0.0000
-3.4947 6.0530 0.0000
0.0000 0.0000 8.5549
Sm Ho Sc
3 7 1
Cartesian
-1.7390 3.0313 0.0000 Sm
1.7390 3.0313 0.0000 Sm
0.0000 6.0434 0.0000 Sm
0.0000 2.0372 5.6298 Ho
-1.7304 5.0344 5.6298 Ho
1.7577 1.0148 2.8568 Ho
1.7304 5.0344 5.6298 Ho
3.4947 2.0177 5.6465 Ho
5.2317 1.0148 2.8568 Ho
3.4947 4.0234 2.8568 Ho
0.0000 4.0354 2.8819 Sc
```

The 6 most intense peaks (15 to 90 degrees two-theta), by intensity:
d (Å)  Position (°2θ)  intensity
2.853  31.4  100
2.471  36.4  51
1.490  62.3  42
1.747  52.4  35
1.134  85.7  18
1.105  88.5  16

---

2.
# K7Rb12Sr
Calculated X-ray powder pattern, Cu Kα X-rays. Input: DFT lattice parameters and positions (GGA-PBE).
Lines closer than 0.1° are merged.

Cell and atoms:
```
K7Rb12Sr
1.0
8.4785 4.8950 6.8500
-8.4785 4.8950 6.8500
0.0000 -9.7901 6.8500
K Rb Sr
7 12 1
Cartesian
0.0000 0.0000 0.0000 K
-2.6355 -0.7491 6.3659 K
1.9665 -1.9078 6.3659 K
0.6690 2.6570 6.3659 K
-0.6690 -2.6570 14.1840 K
-1.9665 1.9079 14.1840 K
2.6355 0.7491 14.1840 K
-7.4858 0.9682 8.5107 Rb
-4.5814 -5.9988 12.0392 Rb
-4.3726 -1.2524 11.0779 Rb
-1.1017 -4.4129 9.4721 Rb
2.9044 -6.9670 8.5107 Rb
-3.2709 3.1606 9.4721 Rb
3.2709 -3.1606 11.0778 Rb
-2.9044 6.9670 12.0392 Rb
1.1017 4.4129 11.0778 Rb
4.3726 1.2524 9.4721 Rb
4.5814 5.9988 8.5107 Rb
7.4858 -0.9682 12.0392 Rb
0.0000 0.0000 10.2750 Sr
```

The 6 most intense peaks (15 to 90 degrees two-theta), by intensity:
d (Å)  Position (°2θ)  intensity
3.992  22.3  100
3.770  23.6  45
3.786  23.5  36
3.586  24.8  25
2.350  38.3  24
3.958  22.5  21

---

3.
# Pm12Ho7Tm
Calculated X-ray powder pattern, Cu Kα X-rays. Input: DFT lattice parameters and positions (GGA-PBE).
Lines closer than 0.1° are merged.

Cell and atoms:
```
Pm12Ho7Tm
1.0
9.7943 5.6547 2.0615
-9.7943 5.6547 2.0615
0.0000 -11.3095 2.0615
Pm Ho Tm
12 7 1
Cartesian
-4.0409 -4.3018 2.0608 Pm
4.0409 4.3018 4.1238 Pm
-0.0064 -3.9954 1.2600 Pm
-3.4570 2.0032 1.2600 Pm
-5.7460 1.3486 4.1238 Pm
-1.7050 5.6505 2.0608 Pm
3.4633 1.9922 1.2600 Pm
-3.4633 -1.9922 4.9246 Pm
5.7460 -1.3486 2.0608 Pm
1.7050 -5.6505 4.1238 Pm
3.4570 -2.0032 4.9246 Pm
0.0064 3.9954 4.9246 Pm
0.0000 0.0000 0.0000 Ho
-2.3907 -1.3725 1.8157 Ho
2.3840 -1.3842 1.8157 Ho
0.0067 2.7567 1.8157 Ho
-0.0067 -2.7567 4.3689 Ho
-2.3840 1.3842 4.3689 Ho
2.3907 1.3725 4.3689 Ho
0.0000 0.0000 3.0923 Tm
```

The 6 most intense peaks (15 to 90 degrees two-theta), by intensity:
d (Å)  Position (°2θ)  intensity
2.975  30.0  100
2.733  32.8  48
2.716  33.0  47
3.265  27.3  43
2.905  30.8  42
2.285  39.4  41

---

4.
# Li2Pr2YPb2
Calculated X-ray powder pattern, Cu Kα X-rays. Input: DFT lattice parameters and positions (GGA-PBE).
Lines closer than 0.1° are merged.

Cell and atoms:
```
Li2Pr2YPb2
1.0
2.4288 1.4023 9.3758
-2.4288 1.4023 9.3758
0.0000 -2.8045 9.3758
Li Pr Y Pb
2 2 1 2
Cartesian
0.0000 0.0000 2.9664 Li
0.0000 0.0000 25.1611 Li
0.0000 0.0000 10.4693 Pr
0.0000 0.0000 17.6583 Pr
0.0000 0.0000 14.0638 Y
0.0000 0.0000 6.5174 Pb
0.0000 0.0000 21.6101 Pb
```

The 6 most intense peaks (15 to 90 degrees two-theta), by intensity:
d (Å)  Position (°2θ)  intensity
2.429  37.0  100
2.906  30.8  96
2.698  33.2  83
4.030  22.1  56
1.484  62.6  39
4.161  21.4  36

---

5.
# ErZr2Cd6
Calculated X-ray powder pattern, Cu Kα X-rays. Input: DFT lattice parameters and positions (GGA-PBE).
Lines closer than 0.1° are merged.

Cell and atoms:
```
ErZr2Cd6
1.0
4.2704 2.4655 3.1807
-4.2704 2.4655 3.1807
0.0000 -4.9310 3.1807
Er Zr Cd
1 2 6
Cartesian
0.0000 0.0000 0.0000 Er
0.0000 0.0000 3.3099 Zr
0.0000 0.0000 6.2323 Zr
-1.4249 -2.4680 4.7711 Cd
-2.8498 0.0000 4.7711 Cd
1.4249 -2.4680 4.7711 Cd
-1.4249 2.4680 4.7711 Cd
2.8498 0.0000 4.7711 Cd
1.4249 2.4680 4.7711 Cd
```

The 6 most intense peaks (15 to 90 degrees two-theta), by intensity:
d (Å)  Position (°2θ)  intensity
2.466  36.4  100
2.551  35.2  97
1.773  51.6  32
1.439  64.8  31
1.336  70.5  26
1.423  65.6  17

---

6.
# Ba8Rh2O
Calculated X-ray powder pattern, Cu Kα X-rays. Input: DFT lattice parameters and positions (GGA-PBE).
Lines closer than 0.1° are merged.

Cell and atoms:
```
Ba8Rh2O
1.0
7.4931 -4.6801 0.0000
7.4931 4.6801 0.0000
-1.7763 0.0000 7.4228
Ba Rh O
8 2 1
Cartesian
1.2645 0.0000 1.7072 Ba
5.0603 2.1580 1.6019 Ba
4.2321 -0.0732 5.4309 Ba
8.1497 2.1580 5.8208 Ba
8.9779 -0.0732 1.9919 Ba
5.3365 -2.5342 1.4157 Ba
11.9455 0.0000 5.7155 Ba
7.8735 -2.5342 6.0071 Ba
2.0750 -0.1776 7.3522 Rh
11.1350 -0.1776 0.0706 Rh
7.4931 -3.2830 0.0000 O
```

The 6 most intense peaks (15 to 90 degrees two-theta), by intensity:
d (Å)  Position (°2θ)  intensity
3.311  26.9  100
3.675  24.2  66
2.968  30.1  35
2.341  38.5  35
2.195  41.1  31
3.644  24.4  27

---

7.
# La2PmScO6
Calculated X-ray powder pattern, Cu Kα X-rays. Input: DFT lattice parameters and positions (GGA-PBE).
Lines closer than 0.1° are merged.

Cell and atoms:
```
La2PmScO6
1.0
5.8460 0.0000 0.0000
0.0000 6.0630 0.0000
-5.7637 0.0000 8.4987
La Pm Sc O
4 2 2 12
Cartesian
-0.0769 0.2989 2.1391 La
-2.9587 2.7326 6.3885 La
3.0410 3.3304 2.1102 La
0.1592 5.7641 6.3596 La
2.9230 0.0000 0.0000 Pm
0.0412 3.0315 4.2493 Pm
-2.8818 0.0000 4.2493 Sc
0.0000 3.0315 0.0000 Sc
-4.7085 1.2540 7.8887 O
-1.8266 1.7774 3.6394 O
-4.0556 4.1504 7.9510 O
-1.1737 4.9440 3.7016 O
-2.1173 0.3524 6.2649 O
0.7646 2.6790 2.0156 O
-0.6822 3.3839 6.4831 O
2.1996 5.7105 2.2338 O
1.2560 1.1189 4.7971 O
4.1379 1.9126 0.5477 O
1.9089 4.2855 4.8593 O
4.7908 4.8089 0.6100 O
```

The 6 most intense peaks (15 to 90 degrees two-theta), by intensity:
d (Å)  Position (°2θ)  intensity
3.001  29.8  100
2.980  30.0  98
3.031  29.5  43
2.923  30.6  43
2.104  43.0  40
1.740  52.6  36

---

8.
# Cr6Rh7
Calculated X-ray powder pattern, Cu Kα X-rays. Input: DFT lattice parameters and positions (GGA-PBE).
Lines closer than 0.1° are merged.

Cell and atoms:
```
Cr6Rh7
1.0
2.5261 1.4584 8.5415
-2.5261 1.4584 8.5415
0.0000 -2.9169 8.5415
Cr Rh
6 7
Cartesian
0.0000 0.0000 1.0396 Cr
0.0000 0.0000 3.7899 Cr
0.0000 0.0000 8.5762 Cr
0.0000 0.0000 17.0482 Cr
0.0000 0.0000 21.8345 Cr
0.0000 0.0000 24.5848 Cr
-1.2720 -0.7344 10.6548 Rh
0.0000 -1.4688 14.9696 Rh
-1.2720 0.7344 14.9696 Rh
0.0000 0.0000 12.8122 Rh
1.2720 -0.7344 10.6548 Rh
0.0000 1.4688 10.6548 Rh
1.2720 0.7344 14.9696 Rh
```

The 6 most intense peaks (15 to 90 degrees two-theta), by intensity:
d (Å)  Position (°2θ)  intensity
2.174  41.5  100
2.012  45.1  69
2.180  41.4  61
1.878  48.5  51
4.271  20.8  44
2.056  44.0  40

---

9.
# NaTl7Hg4
Calculated X-ray powder pattern, Cu Kα X-rays. Input: DFT lattice parameters and positions (GGA-PBE).
Lines closer than 0.1° are merged.

Cell and atoms:
```
NaTl7Hg4
1.0
6.7322 -2.9559 0.0000
6.7322 2.9559 0.0000
-6.7196 0.0000 9.5101
Na Tl Hg
1 7 4
Cartesian
0.0000 0.0000 0.0000 Na
-1.4270 0.0000 3.4593 Tl
-3.2686 0.0000 8.6573 Tl
1.8657 0.0000 3.8627 Tl
6.7322 0.0000 0.0000 Tl
4.8790 0.0000 5.6474 Tl
10.0133 0.0000 0.8528 Tl
8.1718 0.0000 6.0508 Tl
-0.8835 0.0000 6.5086 Hg
4.5072 0.0000 2.2743 Hg
2.2375 0.0000 7.2358 Hg
7.6282 0.0000 3.0015 Hg
```

The 6 most intense peaks (15 to 90 degrees two-theta), by intensity:
d (Å)  Position (°2θ)  intensity
2.429  37.0  100
2.606  34.4  97
2.956  30.2  83
3.172  28.1  73
2.162  41.8  54
1.631  56.4  32

---

10.
# CsUHg2Se6
Calculated X-ray powder pattern, Cu Kα X-rays. Input: DFT lattice parameters and positions (GGA-PBE).
Lines closer than 0.1° are merged.

Cell and atoms:
```
CsUHg2Se6
1.0
6.5665 0.0000 0.0000
2.3962 6.4246 0.0000
2.4784 0.7412 8.6523
Cs U Hg Se
1 1 2 6
Cartesian
0.0000 0.0000 0.0000 Cs
5.7205 3.5829 4.3261 U
2.6883 1.6939 4.1985 Hg
8.7528 5.4719 4.4538 Hg
3.8487 3.2869 6.1981 Se
4.4027 5.6905 2.9979 Se
4.6499 2.0088 2.4507 Se
6.7911 5.1570 6.2016 Se
7.0384 1.4752 5.6544 Se
7.5924 3.8789 2.4541 Se
```

The 6 most intense peaks (15 to 90 degrees two-theta), by intensity:
d (Å)  Position (°2θ)  intensity
2.700  33.2  100
3.617  24.6  88
3.006  29.7  82
2.446  36.7  66
2.943  30.4  64
3.808  23.4  62

---

11.
# CaLaSm4
Calculated X-ray powder pattern, Cu Kα X-rays. Input: DFT lattice parameters and positions (GGA-PBE).
Lines closer than 0.1° are merged.

Cell and atoms:
```
CaLaSm4
1.0
3.6709 0.0000 0.0000
0.0000 5.2153 0.0000
0.0000 0.0000 11.0850
Ca La Sm
1 1 4
Cartesian
0.0000 0.0000 0.0000 Ca
1.8355 2.6076 5.5425 La
0.0000 0.0000 3.7138 Sm
0.0000 0.0000 7.3712 Sm
1.8355 2.6076 1.9535 Sm
1.8355 2.6076 9.1315 Sm
```

The 6 most intense peaks (15 to 90 degrees two-theta), by intensity:
d (Å)  Position (°2θ)  intensity
2.605  34.4  100
3.002  29.8  99
3.015  29.6  99
1.573  58.7  56
1.843  49.5  47
1.568  58.9  28

---

12.
# PrNd2TlC
Calculated X-ray powder pattern, Cu Kα X-rays. Input: DFT lattice parameters and positions (GGA-PBE).
Lines closer than 0.1° are merged.

Cell and atoms:
```
PrNd2TlC
1.0
5.1343 0.0000 0.0000
0.0000 5.1343 0.0000
0.0000 0.0000 5.1739
Pr Nd Tl C
1 2 1 1
Cartesian
0.0000 0.0000 0.0000 Pr
0.0000 2.5672 2.5870 Nd
2.5672 0.0000 2.5870 Nd
2.5672 2.5672 0.0000 Tl
0.0000 0.0000 2.5870 C
```

The 6 most intense peaks (15 to 90 degrees two-theta), by intensity:
d (Å)  Position (°2θ)  intensity
2.972  30.1  100
2.567  35.0  36
1.549  59.7  29
1.822  50.1  26
2.587  34.7  18
1.558  59.3  15

---

13.
# Sr2Tl4Sn
Calculated X-ray powder pattern, Cu Kα X-rays. Input: DFT lattice parameters and positions (GGA-PBE).
Lines closer than 0.1° are merged.

Cell and atoms:
```
Sr2Tl4Sn
1.0
7.2790 0.0000 0.0000
0.0000 6.7695 0.0000
-2.4305 0.0000 9.4334
Sr Tl Sn
4 8 2
Cartesian
-0.1408 1.6924 3.7476 Sr
1.7049 5.0771 0.1670 Sr
3.1437 1.6924 9.2665 Sr
4.9894 5.0771 5.6859 Sr
1.7477 1.6924 0.5831 Tl
0.9418 3.4051 6.9888 Tl
0.9418 6.7491 6.9888 Tl
1.7190 5.0771 4.2326 Tl
3.1296 1.6924 5.2008 Tl
3.9067 0.0204 2.4446 Tl
3.9067 3.3644 2.4446 Tl
3.1009 5.0771 8.8503 Tl
-1.6689 1.6924 6.9761 Sn
6.5175 5.0771 2.4573 Sn
```

The 6 most intense peaks (15 to 90 degrees two-theta), by intensity:
d (Å)  Position (°2θ)  intensity
2.750  32.6  100
2.701  33.2  92
3.182  28.0  90
2.469  36.4  90
3.058  29.2  90
3.000  29.8  62